1.
Diffraction record for NdAlCu. The X-ray diffraction stick pattern is calculated, not measured: it uses a crystal structure in the Materials Project, relaxed with GGA-PBE and Cu Kα X-rays.

Structure:
Cell: 7.1982 7.1982 4.1429 Å, 90.00 90.00 120.00°
Space group P-62m (No. 189)
One atom of each set of equivalent atoms:
1 Nd 0.0000 0.4147 0.0000 (multiplicity 3)
2 Al 0.0000 0.7668 0.5000 (multiplicity 3)
3 Cu 0.0000 0.0000 0.0000 (multiplicity 1)
4 Cu 0.3333 0.6667 0.5000 (multiplicity 2)

Most intense lines, 2θ from 10° to 90°, sorted by position:
21.4 deg, d = 4.143 Å, I = 24, (0 0 1)
24.7 deg, d = 3.599 Å, I = 34, (1 1 0)
28.6 deg, d = 3.117 Å, I = 30, (2 0 0)
33.0 deg, d = 2.717 Å, I = 99, (1 1 1)
36.1 deg, d = 2.491 Å, I = 100, (2 0 1)
38.2 deg, d = 2.356 Å, I = 31, (2 1 0)
43.7 deg, d = 2.071 Å, I = 25, (0 0 2)
57.8 deg, d = 1.596 Å, I = 33, (3 1 1)

***

2.
Diffraction record for CaAcRh2. The X-ray diffraction stick pattern is calculated, not measured: it uses a crystal structure in the Materials Project, relaxed with GGA-PBE and Cu Kα X-rays.

Structure:
Cell: 7.1616 7.1616 7.1616 Å, 90.00 90.00 90.00°
Space group Fm-3m (No. 225)
One atom of each set of equivalent atoms:
1 Ca 0.0000 0.0000 0.0000 (multiplicity 4)
2 Ac 0.0000 0.0000 0.5000 (multiplicity 4)
3 Rh 0.2500 0.2500 0.2500 (multiplicity 8)

Most intense lines, 2θ from 10° to 90°, sorted by position:
21.5 deg, d = 4.135 Å, I = 32, (1 1 1)
35.5 deg, d = 2.532 Å, I = 100, (2 2 0)
41.8 deg, d = 2.159 Å, I = 18, (3 1 1)
51.0 deg, d = 1.790 Å, I = 18, (4 0 0)
56.0 deg, d = 1.643 Å, I = 8, (3 3 1)
63.7 deg, d = 1.462 Å, I = 36, (4 2 2)
75.0 deg, d = 1.266 Å, I = 11, (4 4 0)
85.8 deg, d = 1.132 Å, I = 16, (6 2 0)